RbLiTl2Cl8: computed powder X-ray diffraction pattern (λ = 1.5418 Å (Cu Kα)), based on the PBE geometry in Alexandria.
Intensities are scaled so that the largest is 100.

Main lines, low angle first (2θ = 10–90°):
d [Å]  Position (°2θ)  intensity
5.334  16.62  75
4.556  19.49  100
3.290  27.11  56
3.157  28.27  36
2.667  33.60  32
2.005  45.24  38

Structural model:
```
RbLiTl2Cl8
1.0
3.290 1.899 10.113
-3.290 1.899 10.113
0.000 -3.799 10.113
Rb Li Tl Cl
1 1 2 8
Direct
0.000 0.000 0.000
0.500 0.500 0.500
0.246 0.246 0.246
0.754 0.754 0.754
0.141 0.416 0.767
0.233 0.584 0.859
0.328 0.328 0.328
0.416 0.767 0.141
0.584 0.859 0.233
0.672 0.672 0.672
0.767 0.141 0.416
0.859 0.233 0.584
```